(1)
Structure and calculated X-ray diffraction stick pattern of Pm3Sn7 (a structure optimized by DFT (PBE); Cu Kα).

The 8 most intense peaks (2θ from 10° to 80°), in order of falling intensity:
- 32.90 deg, 2.722 Å, I 1000
- 32.13 deg, 2.786 Å, I 987
- 37.88 deg, 2.375 Å, I 337
- 36.12 deg, 2.487 Å, I 325
- 39.13 deg, 2.302 Å, I 322
- 54.32 deg, 1.689 Å, I 319
- 55.60 deg, 1.653 Å, I 226
- 65.73 deg, 1.421 Å, I 139

Cell and atoms:
```
Pm3Sn7
1.0
8.993 -2.302 0.000
8.993 2.302 0.000
-1.571 0.000 6.573
Pm Sn
3 7
Direct
0.000 0.000 0.000 Pm
0.181 0.181 0.611 Pm
0.819 0.819 0.389 Pm
0.000 0.000 0.500 Sn
0.202 0.202 0.114 Sn
0.393 0.393 0.710 Sn
0.409 0.409 0.200 Sn
0.591 0.591 0.800 Sn
0.607 0.607 0.290 Sn
0.798 0.798 0.886 Sn
```



(2)
Structure and calculated X-ray diffraction stick pattern of Pm3Sn5 (a structure optimized by DFT (PBE); Cu Kα).

The 8 most intense peaks (2θ from 10° to 80°), in order of falling intensity:
- 32.41 deg, 2.762 Å, I 1000
- 33.19 deg, 2.699 Å, I 978
- 34.61 deg, 2.592 Å, I 711
- 33.98 deg, 2.638 Å, I 645
- 38.41 deg, 2.343 Å, I 478
- 49.29 deg, 1.849 Å, I 324
- 30.84 deg, 2.899 Å, I 315
- 30.08 deg, 2.971 Å, I 278

Cell and atoms:
```
Pm3Sn5
1.0
12.969 0.000 0.000
0.000 10.554 0.000
0.000 0.000 6.476
Pm Sn
12 20
Direct
0.056 0.250 0.130 Pm
0.151 0.505 0.625 Pm
0.151 0.995 0.625 Pm
0.349 0.005 0.125 Pm
0.349 0.495 0.125 Pm
0.444 0.750 0.630 Pm
0.556 0.250 0.370 Pm
0.651 0.505 0.875 Pm
0.651 0.995 0.875 Pm
0.849 0.005 0.375 Pm
0.849 0.495 0.375 Pm
0.944 0.750 0.870 Pm
0.001 0.750 0.397 Sn
0.092 0.547 0.128 Sn
0.092 0.953 0.128 Sn
0.230 0.750 0.888 Sn
0.245 0.750 0.354 Sn
0.255 0.250 0.854 Sn
0.270 0.250 0.388 Sn
0.408 0.047 0.628 Sn
0.408 0.453 0.628 Sn
0.499 0.250 0.897 Sn
0.501 0.750 0.103 Sn
0.592 0.547 0.372 Sn
0.592 0.953 0.372 Sn
0.730 0.750 0.612 Sn
0.745 0.750 0.146 Sn
0.755 0.250 0.646 Sn
0.770 0.250 0.112 Sn
0.908 0.047 0.872 Sn
0.908 0.453 0.872 Sn
0.999 0.250 0.603 Sn
```



(3)
Structure and calculated X-ray diffraction stick pattern of Pm3Sn5 (a structure optimized by DFT (PBE); Cu Kα).

The 8 most intense peaks (2θ from 10° to 80°), in order of falling intensity:
- 32.34 deg, 2.769 Å, I 1000
- 38.57 deg, 2.334 Å, I 328
- 65.88 deg, 1.418 Å, I 266
- 53.29 deg, 1.719 Å, I 238
- 35.32 deg, 2.541 Å, I 171
- 67.69 deg, 1.384 Å, I 129
- 55.68 deg, 1.651 Å, I 115
- 61.53 deg, 1.507 Å, I 111

Cell and atoms:
```
Pm3Sn5
1.0
4.669 0.000 0.000
0.000 4.669 0.000
0.000 0.000 20.329
Pm Sn
6 10
Direct
0.000 0.000 0.000 Pm
0.000 0.500 0.141 Pm
0.000 0.500 0.359 Pm
0.500 0.000 0.641 Pm
0.500 0.000 0.859 Pm
0.500 0.500 0.500 Pm
0.000 0.000 0.252 Sn
0.000 0.000 0.500 Sn
0.000 0.000 0.748 Sn
0.000 0.500 0.622 Sn
0.000 0.500 0.878 Sn
0.500 0.000 0.122 Sn
0.500 0.000 0.378 Sn
0.500 0.500 0.000 Sn
0.500 0.500 0.248 Sn
0.500 0.500 0.752 Sn
```



(4)
Structure and calculated X-ray diffraction stick pattern of PmSn7 (a structure optimized by DFT (PBE); Cu Kα).

The 5 most intense peaks (2θ from 10° to 80°), in order of falling intensity:
- 32.44 deg, 2.760 Å, I 1000
- 37.63 deg, 2.390 Å, I 506
- 64.66 deg, 1.441 Å, I 431
- 54.27 deg, 1.690 Å, I 359
- 67.92 deg, 1.380 Å, I 125

Cell and atoms:
```
PmSn7
1.0
0.000 4.781 4.781
4.781 0.000 4.781
4.781 4.781 0.000
Pm Sn
1 7
Direct
0.000 0.000 0.000 Pm
0.000 0.000 0.500 Sn
0.000 0.500 0.000 Sn
0.000 0.500 0.500 Sn
0.500 0.000 0.000 Sn
0.500 0.000 0.500 Sn
0.500 0.500 0.000 Sn
0.500 0.500 0.500 Sn
```